NaCdF4: computed X-ray powder pattern (λ = 1.5418 Å (Cu Kα)), based on a GGA-PBE-relaxed structure.
No peak broadening, texture or thermal motion is included.

Most intense lines, 2θ from 10° to 90°, by angle:
h k l	2theta	Rel. int.
1 0 0	15.38	621
0 1 1	22.82	508
1 1 -1	24.55	1000
0 0 2	30.04	173
1 1 1	30.43	325
1 1 -3	46.56	385
2 2 0	47.31	215
2 2 -2	50.33	194

Cell and atoms:
```
data_NaCdF4
_symmetry_space_group_name_H-M 'P 1 21/c 1'
_symmetry_Int_Tables_number 14
_symmetry_space_group_name_Hall '-P 2ybc'
_cell_length_a 6.128
_cell_length_b 5.159
_cell_length_c 6.329
_cell_angle_alpha 90.00
_cell_angle_beta 109.95
_cell_angle_gamma 90.00
loop_
_atom_site_label
_atom_site_type_symbol
_atom_site_fract_x
_atom_site_fract_y
_atom_site_fract_z
Na1 Na 0.000 0.000 0.000
Cd1 Cd 0.500 0.000 0.500
F1 F 0.174 0.173 0.359
F2 F 0.358 0.717 0.660
```